Starting from a PBE-relaxed structure, the powder X-ray diffraction pattern of Cs2RbZr3S8 was calculated for Cu Ka.

Peak list (12 most intense, 10° ≤ 2θ ≤ 80°, low angle first)
h k l, Position (°2θ), d/Å, intensity
1 0 4, 19.4, 4.575, 17
0 0 6, 21.2, 4.184, 23
0 1 5, 22.1, 4.014, 29
1 1 0, 23.0, 3.859, 24
1 1 3, 25.4, 3.504, 100
0 2 4, 30.3, 2.950, 32
0 2 7, 36.8, 2.445, 39
2 0 8, 39.4, 2.288, 33
1 2 5, 39.9, 2.258, 28
0 3 3, 42.0, 2.153, 26
2 2 0, 47.1, 1.929, 39
2 0 14, 58.4, 1.580, 17

Cell and atoms:
Lattice parameters (Å, degrees): 7.7173 7.7173 25.1043 90.00 90.00 120.00
Space group R3m (No. 160, hexagonal axes)
Asymmetric unit:
Cs1 0.0000 0.0000 0.0000 [3 per cell]
Cs2 0.0000 0.0000 0.3563 [3 per cell]
Rb1 0.0000 0.0000 0.7180 [3 per cell]
Zr1 0.9999 0.4999 0.8570 [9 per cell]
S1 0.0000 0.0000 0.1332 [3 per cell]
S2 0.0000 0.0000 0.5826 [3 per cell]
S3 0.0258 0.5129 0.1341 [9 per cell]
S4 0.1793 0.3585 0.9119 [9 per cell]


Starting from a PBE-relaxed structure, the powder X-ray diffraction pattern of Ho12Er2Mg was calculated for Cu Ka.

Peak list (12 most intense, 10° ≤ 2θ ≤ 80°, low angle first)
h k l, Position (°2θ), d/Å, intensity
1 1 0, 31.3, 2.855, 97
1 1 -2, 31.7, 2.824, 19
0 1 8, 32.0, 2.796, 100
1 0 -8, 35.2, 2.551, 59
0 2 0, 37.4, 2.406, 36
2 0 -1, 51.4, 1.777, 15
1 2 -8, 52.3, 1.750, 39
1 1 -16, 61.6, 1.507, 31
2 1 7, 61.9, 1.500, 31
1 3 0, 63.7, 1.461, 14
0 3 8, 64.1, 1.453, 14
2 2 -1, 65.3, 1.429, 14

Cell and atoms:
Lattice parameters (Å, degrees): 3.554 4.811 27.537 90.00 93.69 90.00
Space group P2/m (No. 10)
Asymmetric unit:
Ho1 0.031 0.000 0.062 [2 per cell]
Ho2 0.093 0.000 0.190 [2 per cell]
Ho3 0.159 0.000 0.321 [2 per cell]
Ho4 0.224 0.000 0.447 [2 per cell]
Ho5 0.309 0.500 0.618 [2 per cell]
Ho6 0.438 0.500 0.873 [2 per cell]
Er1 0.374 0.500 0.745 [2 per cell]
Mg1 0.500 0.500 0.000 [1 per cell]